This entry pairs a crystal structure of Cr2Ni with its computed powder X-ray diffraction pattern. Radiation: Cu Kα. Structure: a DFT-relaxed cell (GGA-PBE, the Materials Project).
Lines closer than 0.1° are merged.

Structural model:
```
Cr2Ni
1.0
0.0000 3.2815 3.2815
3.2815 0.0000 3.2815
3.2815 3.2815 0.0000
Cr Ni
4 2
Direct
0.0000 0.0000 0.0000
0.0000 0.0000 0.5000
0.0000 0.5000 0.0000
0.5000 0.0000 0.0000
0.3750 0.3750 0.3750
0.6250 0.6250 0.6250
```

Largest 5 diffraction maxima, in order of rising 2θ, 5° ≤ 2θ ≤ 70°:
| two_theta | I (rel.) |
| --- | --- |
| 23.48 | 2 |
| 38.81 | 36 |
| 45.86 | 100 |
| 48.02 | 33 |
| 56.05 | 2 |

---

This entry pairs a crystal structure of Cs2SnO3 with its computed powder X-ray diffraction pattern. Radiation: Cu Kα. Structure: a DFT-relaxed cell (GGA-PBE, the Materials Project).
Lines closer than 0.1° are merged.

Structural model:
```
Cs2SnO3
1.0
5.7112 -3.9410 0.0000
5.7112 3.9410 0.0000
0.0000 0.0000 5.9284
Cs Sn O
4 2 6
Direct
0.0173 0.3072 0.2500
0.3072 0.0173 0.7500
0.6928 0.9827 0.2500
0.9827 0.6928 0.7500
0.4171 0.5829 0.2500
0.5829 0.4171 0.7500
0.1676 0.8324 0.2500
0.3816 0.3816 0.0000
0.3816 0.3816 0.5000
0.6184 0.6184 0.0000
0.6184 0.6184 0.5000
0.8324 0.1676 0.7500
```

Largest 6 diffraction maxima, in order of rising 2θ, 5° ≤ 2θ ≤ 70°:
| two_theta | I (rel.) |
| --- | --- |
| 25.99 | 36 |
| 27.17 | 68 |
| 30.12 | 100 |
| 40.22 | 31 |
| 44.60 | 15 |
| 55.83 | 18 |

---

This entry pairs a crystal structure of MgSb2O4F2 with its computed powder X-ray diffraction pattern. Radiation: Cu Kα. Structure: a DFT-relaxed cell (GGA-PBE, the Materials Project).
Lines closer than 0.1° are merged.

Structural model:
```
MgSb2O4F2
1.0
5.1441 0.0000 0.0000
0.0312 5.2043 0.0000
1.0087 2.1572 4.8532
Mg Sb O F
1 2 4 2
Direct
0.0000 0.0000 0.0000
0.4718 0.7595 0.5071
0.9841 0.3561 0.3620
0.1911 0.0709 0.5936
0.2145 0.7111 0.2742
0.7432 0.6412 0.2007
0.7559 0.0823 0.3095
0.1984 0.3343 0.0160
0.7803 0.2937 0.7435
```

Largest 6 diffraction maxima, in order of rising 2θ, 5° ≤ 2θ ≤ 70°:
| two_theta | I (rel.) |
| --- | --- |
| 18.28 | 100 |
| 24.74 | 62 |
| 25.31 | 71 |
| 26.74 | 52 |
| 28.35 | 40 |
| 33.34 | 26 |

---

This entry pairs a crystal structure of Zn5P6H18O30 with its computed powder X-ray diffraction pattern. Radiation: Cu Kα. Structure: a DFT-relaxed cell (GGA-PBE, the Materials Project).
Lines closer than 0.1° are merged.

Structural model:
```
Zn5P6H18O30
1.0
8.5400 0.0000 0.0000
-1.1939 9.8546 0.0000
-3.7216 -4.2467 8.2645
Zn P H O
5 6 18 30
Direct
0.0000 0.0000 0.0000
0.0534 0.6670 0.2308
0.4368 0.3355 0.5710
0.5632 0.6645 0.4290
0.9466 0.3330 0.7692
0.1328 0.0228 0.3728
0.2350 0.5592 0.4793
0.3092 0.5564 0.0707
0.6908 0.4436 0.9293
0.7650 0.4408 0.5207
0.8672 0.9772 0.6272
0.0504 0.8878 0.5321
0.1211 0.8470 0.7924
0.1235 0.5500 0.6468
0.1982 0.2627 0.0415
0.2151 0.8126 0.9418
0.2299 0.2639 0.2067
0.4167 0.5633 0.9012
0.4357 0.0505 0.6565
0.4596 0.8971 0.6603
0.5404 0.1029 0.3397
0.5643 0.9495 0.3435
0.5833 0.4367 0.0988
0.7701 0.7361 0.7933
0.7849 0.1874 0.0582
0.8018 0.7373 0.9585
0.8765 0.4500 0.3532
0.8789 0.1530 0.2076
0.9496 0.1122 0.4679
0.0159 0.8969 0.6221
0.0549 0.5418 0.3457
0.0855 0.8747 0.3877
0.1166 0.8446 0.8883
0.1360 0.9909 0.2123
0.1743 0.3946 0.9592
0.2140 0.1975 0.0977
0.2240 0.6116 0.6446
0.2339 0.6723 0.1573
0.2762 0.4057 0.4310
0.3134 0.1277 0.5183
0.3615 0.6225 0.9669
0.3833 0.6888 0.5094
0.4753 0.5421 0.1930
0.4822 0.0057 0.7309
0.5178 0.9943 0.2691
0.5247 0.4579 0.8070
0.6167 0.3112 0.4906
0.6385 0.3775 0.0331
0.6866 0.8723 0.4817
0.7238 0.5943 0.5690
0.7661 0.3277 0.8427
0.7760 0.3884 0.3554
0.7860 0.8025 0.9023
0.8257 0.6054 0.0408
0.8640 0.0091 0.7877
0.8834 0.1554 0.1117
0.9145 0.1253 0.6123
0.9451 0.4582 0.6543
0.9841 0.1031 0.3779
```

Largest 6 diffraction maxima, in order of rising 2θ, 5° ≤ 2θ ≤ 70°:
| two_theta | I (rel.) |
| --- | --- |
| 10.09 | 34 |
| 11.74 | 100 |
| 17.66 | 29 |
| 18.06 | 32 |
| 22.32 | 34 |
| 23.62 | 33 |

---

This entry pairs a crystal structure of K3Hf with its computed powder X-ray diffraction pattern. Radiation: Cu Kα. Structure: a DFT-relaxed cell (GGA-PBE, the Materials Project).
Lines closer than 0.1° are merged.

Structural model:
```
K3Hf
1.0
9.1851 0.0000 0.0000
0.0000 9.1851 0.0000
0.0000 0.0000 9.1851
K Hf
12 4
Direct
0.0000 0.0000 0.0000
0.0000 0.5000 0.5000
0.2500 0.2500 0.2500
0.2500 0.2500 0.7500
0.2500 0.7500 0.2500
0.2500 0.7500 0.7500
0.5000 0.0000 0.5000
0.5000 0.5000 0.0000
0.7500 0.2500 0.2500
0.7500 0.2500 0.7500
0.7500 0.7500 0.2500
0.7500 0.7500 0.7500
0.0000 0.0000 0.5000
0.0000 0.5000 0.0000
0.5000 0.0000 0.0000
0.5000 0.5000 0.5000
```

Largest 6 diffraction maxima, in order of rising 2θ, 5° ≤ 2θ ≤ 70°:
| two_theta | I (rel.) |
| --- | --- |
| 16.72 | 41 |
| 19.33 | 22 |
| 27.47 | 100 |
| 32.33 | 26 |
| 39.23 | 19 |
| 48.56 | 39 |

---

This entry pairs a crystal structure of HgC4Br3N with its computed powder X-ray diffraction pattern. Radiation: Cu Kα. Structure: a DFT-relaxed cell (GGA-PBE, the Materials Project).
Lines closer than 0.1° are merged.

Structural model:
```
HgC4Br3N
1.0
8.4305 0.0000 0.0000
0.0000 18.9919 0.0000
-0.4699 0.0000 8.6535
Hg C Br N
4 16 12 4
Direct
0.1790 0.0000 0.0555
0.2592 0.9847 0.5627
0.7408 0.4847 0.4373
0.8210 0.5000 0.9445
0.1349 0.2144 0.4831
0.1911 0.5994 0.0293
0.2237 0.2660 0.4601
0.2656 0.6608 0.0318
0.3202 0.3180 0.4391
0.3460 0.7185 0.0303
0.3702 0.4457 0.4002
0.4216 0.7758 0.0287
0.5784 0.2758 0.9713
0.6298 0.9457 0.5998
0.6540 0.2185 0.9697
0.6798 0.8180 0.5609
0.7344 0.1608 0.9682
0.7763 0.7660 0.5399
0.8089 0.0994 0.9707
0.8651 0.7144 0.5169
0.0230 0.6541 0.4991
0.1118 0.9021 0.2290
0.1246 0.9016 0.7298
0.2917 0.0951 0.9006
0.3814 0.0690 0.3896
0.4427 0.3464 0.9719
0.5573 0.8464 0.0281
0.6186 0.5690 0.6104
0.7083 0.5951 0.0994
0.8754 0.4016 0.2702
0.8882 0.4021 0.7710
0.9770 0.1541 0.5009
0.1239 0.5442 0.0263
0.3451 0.3838 0.4209
0.6549 0.8838 0.5791
0.8761 0.0442 0.9737
```

Largest 6 diffraction maxima, in order of rising 2θ, 5° ≤ 2θ ≤ 70°:
| two_theta | I (rel.) |
| --- | --- |
| 9.31 | 58 |
| 11.50 | 100 |
| 17.53 | 25 |
| 24.90 | 13 |
| 25.43 | 20 |
| 27.56 | 11 |

---

Repeat the sixth record exactly.
This entry pairs a crystal structure of HgC4Br3N with its computed powder X-ray diffraction pattern. Radiation: Cu Kα. Structure: a DFT-relaxed cell (GGA-PBE, the Materials Project).
Lines closer than 0.1° are merged.

Structural model:
```
HgC4Br3N
1.0
8.4305 0.0000 0.0000
0.0000 18.9919 0.0000
-0.4699 0.0000 8.6535
Hg C Br N
4 16 12 4
Direct
0.1790 0.0000 0.0555
0.2592 0.9847 0.5627
0.7408 0.4847 0.4373
0.8210 0.5000 0.9445
0.1349 0.2144 0.4831
0.1911 0.5994 0.0293
0.2237 0.2660 0.4601
0.2656 0.6608 0.0318
0.3202 0.3180 0.4391
0.3460 0.7185 0.0303
0.3702 0.4457 0.4002
0.4216 0.7758 0.0287
0.5784 0.2758 0.9713
0.6298 0.9457 0.5998
0.6540 0.2185 0.9697
0.6798 0.8180 0.5609
0.7344 0.1608 0.9682
0.7763 0.7660 0.5399
0.8089 0.0994 0.9707
0.8651 0.7144 0.5169
0.0230 0.6541 0.4991
0.1118 0.9021 0.2290
0.1246 0.9016 0.7298
0.2917 0.0951 0.9006
0.3814 0.0690 0.3896
0.4427 0.3464 0.9719
0.5573 0.8464 0.0281
0.6186 0.5690 0.6104
0.7083 0.5951 0.0994
0.8754 0.4016 0.2702
0.8882 0.4021 0.7710
0.9770 0.1541 0.5009
0.1239 0.5442 0.0263
0.3451 0.3838 0.4209
0.6549 0.8838 0.5791
0.8761 0.0442 0.9737
```

Largest 6 diffraction maxima, in order of rising 2θ, 5° ≤ 2θ ≤ 70°:
| two_theta | I (rel.) |
| --- | --- |
| 9.31 | 58 |
| 11.50 | 100 |
| 17.53 | 25 |
| 24.90 | 13 |
| 25.43 | 20 |
| 27.56 | 11 |